1.
# VAsO
Theoretical powder diffractogram, λ = 1.5418 Å (Cu Kα). Input: a GGA+U-relaxed structure.
Neutral-atom scattering factors, no anomalous dispersion.

Principal peaks in the range 15 to 90 degrees two-theta, sorted by position:
Position (°2θ)	d/Å	intensity	(hkl)
19.6	4.532	100	1 1 0
27.3	3.272	45	1 1 1
30.1	2.971	46	1 2 0
35.1	2.553	56	2 0 1
35.7	2.516	48	1 2 1
37.6	2.391	71	2 1 1
38.1	2.364	35	0 0 2
39.7	2.272	43	0 3 0
44.3	2.043	86	2 2 1
46.8	1.942	38	0 2 2

Crystal structure
abc: 6.0680 6.8150 4.7280
angles: 90.00 90.00 90.00
Space group Pca2_1 (No. 29)
One atom of each set of equivalent atoms:
V 0.1273 0.0094 0.0000 (multiplicity 4)
As 0.1438 0.3180 0.3527 (multiplicity 4)
O 0.1369 0.8601 0.3493 (multiplicity 4)


2.
# VAs3O9
Theoretical powder diffractogram, λ = 1.5418 Å (Cu Kα). Input: a GGA+U-relaxed structure.
Neutral-atom scattering factors, no anomalous dispersion.

Principal peaks in the range 15 to 90 degrees two-theta, sorted by position:
Position (°2θ)	d/Å	intensity	(hkl)
21.6	4.115	98	1 1 1
22.3	3.982	25	0 0 2
22.7	3.914	18	1 1 -2
24.4	3.647	100	3 1 -2
27.4	3.257	39	3 1 0
30.0	2.975	17	3 1 -3
30.8	2.906	14	2 2 0
34.7	2.587	31	5 1 -2
38.0	2.369	25	2 2 -3
57.1	1.612	20	1 3 3

Crystal structure
abc: 13.9872 6.8179 10.0146
angles: 90.00 127.32 90.00
Space group Cc (No. 9)
One atom of each set of equivalent atoms:
V 0.0000 0.2343 0.0000 (multiplicity 4)
As 0.1323 0.1024 0.8209 (multiplicity 4)
As 0.2400 0.4543 0.7301 (multiplicity 4)
As 0.3686 0.0810 0.6809 (multiplicity 4)
O 0.0167 0.1058 0.8310 (multiplicity 4)
O 0.1224 0.0467 0.1796 (multiplicity 4)
O 0.1450 0.3451 0.7705 (multiplicity 4)
O 0.1495 0.3883 0.0739 (multiplicity 4)
O 0.2629 0.2718 0.6240 (multiplicity 4)
O 0.2797 0.0865 0.0127 (multiplicity 4)
O 0.3643 0.4661 0.4142 (multiplicity 4)
O 0.4005 0.0345 0.3523 (multiplicity 4)
O 0.4801 0.1648 0.6785 (multiplicity 4)